Diffraction record for CuPH2. The PXRD pattern is theoretical, not measured: it uses the GGA-PBE geometry in Alexandria and Cu Kα, 1.54184 Å.

Peak list (10 most intense, 10 to 90 degrees two-theta, most intense first)
(hkl)	Position (°2θ)	Rel. int.
0 1 0	23.9	100
0 1 1	28.0	24
2 0 1	49.0	17
0 1 -1	39.4	13
2 1 0	49.2	13
2 1 1	42.3	12
0 1 2	47.2	11
1 -1 0	40.4	11
1 1 1	25.1	11
1 0 0	25.0	11

Cell and atoms:
a b c (Å): 4.2741 4.4529 4.4657
angles (deg): 61.76 61.50 61.71
Space group P1 (No. 1)
One atom of each set of equivalent atoms:
Cu 0.0000 0.0000 0.0000 [1 per cell]
P 0.5943 0.9046 0.9054 [1 per cell]
H 0.7490 0.5154 0.9784 [1 per cell]
H 0.7535 0.9747 0.5169 [1 per cell]

Diffraction record for ScCuPH. The PXRD pattern is theoretical, not measured: it uses the GGA-PBE geometry in Alexandria and Cu Kα, 1.54184 Å.

Peak list (10 most intense, 10 to 90 degrees two-theta, most intense first)
(hkl)	Position (°2θ)	Rel. int.
0 0 1	11.7	100
1 1 2	42.9	87
1 1 1	37.4	68
2 0 0	50.9	39
1 0 2	34.5	37
0 0 3	35.6	23
2 0 3	63.7	15
1 1 4	61.2	14
2 2 0	74.8	11
2 1 2	62.9	11

Cell and atoms:
a b c (Å): 3.5902 3.5902 7.5559
angles (deg): 90.00 90.00 90.00
Space group P4/nmm (No. 129, origin choice 2)
One atom of each set of equivalent atoms:
Sc 0.2500 0.2500 0.1613 [2 per cell]
Cu 0.2500 0.7500 0.5000 [2 per cell]
P 0.2500 0.2500 0.7094 [2 per cell]
H 0.2500 0.7500 0.0000 [2 per cell]

Diffraction record for PaCuH6Pt. The PXRD pattern is theoretical, not measured: it uses the GGA-PBE geometry in Alexandria and Cu Kα, 1.54184 Å.

Peak list (10 most intense, 10 to 90 degrees two-theta, most intense first)
(hkl)	Position (°2θ)	Rel. int.
1 0 1	31.0	100
1 1 0	40.4	42
1 1 2	59.4	28
2 0 1	51.8	25
2 1 1	67.7	22
1 0 0	23.0	14
0 0 2	41.6	13
1 0 3	69.3	10
3 0 2	88.2	10
3 0 0	73.5	7

Cell and atoms:
a b c (Å): 4.4637 4.4637 4.3416
angles (deg): 90.00 90.00 120.00
Space group P-6m2 (No. 187)
One atom of each set of equivalent atoms:
Pa 0.0000 0.0000 0.0000 [1 per cell]
Cu 0.3333 0.6667 0.5000 [1 per cell]
H 0.0071 0.5036 0.1987 [6 per cell]
Pt 0.6667 0.3333 0.5000 [1 per cell]